Record 1
Computed X-ray diffraction stick pattern
Compound: Li2GeN2
Radiation: Cu Kα (weighted mean of Kα1 and Kα2)
Structure: a crystal structure in Alexandria, relaxed with GGA-PBE

Structure:
Cell lengths 5.590, 6.685, 5.553 Å; angles 90.00, 92.26, 90.00 degrees
Fractional coordinates of all 20 atoms:
Li 0.054 0.163 0.227
Li 0.054 0.337 0.727
Li 0.317 0.097 0.907
Li 0.317 0.403 0.407
Li 0.683 0.597 0.593
Li 0.683 0.903 0.093
Li 0.946 0.663 0.273
Li 0.946 0.837 0.773
Ge 0.350 0.638 0.926
Ge 0.350 0.862 0.426
Ge 0.650 0.138 0.574
Ge 0.650 0.362 0.074
N 0.229 0.649 0.604
N 0.229 0.851 0.104
N 0.302 0.122 0.549
N 0.302 0.378 0.049
N 0.698 0.622 0.951
N 0.698 0.878 0.451
N 0.771 0.149 0.896
N 0.771 0.351 0.396

Main lines, low angle first (2θ from 10° to 80°):
2θ 15.9, rel. 48
2θ 20.8, rel. 100
2θ 25.9, rel. 35
2θ 31.2, rel. 19
2θ 32.3, rel. 14
2θ 34.8, rel. 15
2θ 35.5, rel. 40
2θ 44.9, rel. 26
2θ 46.6, rel. 14
2θ 56.9, rel. 17

=====

Record 2
Computed X-ray diffraction stick pattern
Compound: Li4U3GeN8
Radiation: Cu Kα (weighted mean of Kα1 and Kα2)
Structure: a crystal structure in Alexandria, relaxed with GGA-PBE

Structure:
Cell lengths 6.395, 6.395, 6.395 Å; angles 65.31, 65.31, 65.31 degrees
Fractional coordinates of all 16 atoms:
Li 0.000 0.000 0.000
Li 0.000 0.500 0.500
Li 0.500 0.000 0.500
Li 0.500 0.500 0.000
U 0.000 0.000 0.500
U 0.000 0.500 0.000
U 0.500 0.000 0.000
Ge 0.500 0.500 0.500
N 0.203 0.751 0.751
N 0.239 0.239 0.239
N 0.249 0.249 0.797
N 0.249 0.797 0.249
N 0.751 0.203 0.751
N 0.751 0.751 0.203
N 0.761 0.761 0.761
N 0.797 0.249 0.249

Main lines, low angle first (2θ from 10° to 80°):
2θ 16.0, rel. 17
2θ 17.7, rel. 100
2θ 30.5, rel. 74
2θ 32.2, rel. 54
2θ 38.5, rel. 58
2θ 42.7, rel. 28
2θ 52.5, rel. 19
2θ 53.1, rel. 22
2θ 56.4, rel. 29
2θ 65.8, rel. 17

=====

Record 3
Computed X-ray diffraction stick pattern
Compound: LiZr2GeN
Radiation: Cu Kα (weighted mean of Kα1 and Kα2)
Structure: a crystal structure in Alexandria, relaxed with GGA-PBE

Structure:
Cell lengths 4.446, 4.446, 3.967 Å; angles 90.00, 90.00, 90.00 degrees
Fractional coordinates of all 5 atoms:
Li 0.000 0.000 0.000
Zr 0.000 0.500 0.500
Zr 0.500 0.000 0.500
Ge 0.500 0.500 0.000
N 0.000 0.000 0.500

Main lines, low angle first (2θ from 10° to 80°):
2θ 22.4, rel. 21
2θ 28.4, rel. 13
2θ 30.2, rel. 19
2θ 36.5, rel. 100
2θ 40.6, rel. 45
2θ 45.7, rel. 16
2θ 58.7, rel. 15
2θ 62.8, rel. 23
2θ 71.1, rel. 28
2θ 77.5, rel. 13